1.
PrAlGeO5: calculated powder XRD pattern (Cu Kα (λ = 1.5418 Å)), based on DFT lattice parameters and positions (PBE).

Atomic structure:
```
data_PrAlGeO5
_chemical_formula_sum 'Pr4 Al4 Ge4 O20'
_space_group_name_H-M_alt 'C 1 2/c 1'
_space_group_IT_number 15
_space_group_name_Hall '-C 2yc'
_cell_length_a 6.706
_cell_length_b 8.959
_cell_length_c 6.920
_cell_angle_alpha 90.00
_cell_angle_beta 111.13
_cell_angle_gamma 90.00
loop_
_atom_site_label
_atom_site_type_symbol
_atom_site_fract_x
_atom_site_fract_y
_atom_site_fract_z
_atom_site_occupancy
Pr1 Pr 0.000 0.174 0.250 1
Al1 Al 0.000 0.500 0.000 1
Ge1 Ge 0.000 0.184 0.750 1
O1 O 0.000 0.434 0.250 1
O2 O 0.106 0.298 0.601 1
O3 O 0.186 0.064 0.933 1
```

Peak list (12 most intense, 2θ from 10° to 90°, low angle first)
index, 2theta, I (rel.)
1 1 0, 17.29, 32
0 2 0, 19.82, 35
0 0 2, 27.64, 51
1 1 -2, 27.97, 55
2 0 0, 28.54, 94
2 0 -2, 31.87, 50
1 3 0, 33.24, 100
0 2 2, 34.24, 46
2 2 0, 34.99, 24
1 3 -2, 40.12, 53
2 0 2, 47.18, 49
3 3 0, 53.61, 40

2.
RbAlGeO4: calculated powder XRD pattern (Cu Kα (λ = 1.5418 Å)), based on DFT lattice parameters and positions (PBE).

Atomic structure:
```
data_RbAlGeO4
_chemical_formula_sum 'Rb2 Al2 Ge2 O8'
_space_group_name_H-M_alt 'I -4'
_space_group_IT_number 82
_space_group_name_Hall 'I -4'
_cell_length_a 5.589
_cell_length_b 5.589
_cell_length_c 7.873
_cell_angle_alpha 90.00
_cell_angle_beta 90.00
_cell_angle_gamma 90.00
loop_
_atom_site_label
_atom_site_type_symbol
_atom_site_fract_x
_atom_site_fract_y
_atom_site_fract_z
_atom_site_occupancy
Rb1 Rb 0.000 0.000 0.000 1
Al1 Al 0.000 0.000 0.500 1
Ge1 Ge 0.000 0.500 0.250 1
O1 O 0.077 0.750 0.374 1
```

Peak list (12 most intense, 2θ from 10° to 90°, low angle first)
index, 2theta, I (rel.)
1 0 1, 19.48, 74
1 1 2, 32.07, 100
1 2 1, 37.76, 25
1 0 3, 37.87, 12
2 2 0, 45.93, 8
2 1 3, 50.39, 16
1 3 2, 57.13, 26
2 0 4, 57.25, 14
2 3 1, 60.94, 8
2 2 4, 67.12, 10
1 4 1, 70.53, 8
4 2 0, 76.19, 13

3.
SmAlGe2O7: calculated powder XRD pattern (Cu Kα (λ = 1.5418 Å)), based on DFT lattice parameters and positions (PBE).

Atomic structure:
```
data_SmAlGe2O7
_chemical_formula_sum 'Sm4 Al4 Ge8 O28'
_space_group_name_H-M_alt 'P 1 21/c 1'
_space_group_IT_number 14
_space_group_name_Hall '-P 2ybc'
_cell_length_a 7.283
_cell_length_b 6.574
_cell_length_c 12.817
_cell_angle_alpha 90.00
_cell_angle_beta 117.76
_cell_angle_gamma 90.00
loop_
_atom_site_label
_atom_site_type_symbol
_atom_site_fract_x
_atom_site_fract_y
_atom_site_fract_z
_atom_site_occupancy
Sm1 Sm 0.240 0.148 0.472 1
Al1 Al 0.212 0.100 0.729 1
Ge1 Ge 0.212 0.658 0.451 1
Ge2 Ge 0.303 0.588 0.721 1
O1 O 0.008 0.657 0.916 1
O2 O 0.158 0.684 0.188 1
O3 O 0.207 0.053 0.866 1
O4 O 0.223 0.118 0.277 1
O5 O 0.251 0.000 0.074 1
O6 O 0.408 0.672 0.976 1
O7 O 0.425 0.119 0.694 1
```

Peak list (12 most intense, 2θ from 10° to 90°, low angle first)
index, 2theta, I (rel.)
0 0 2, 15.61, 45
2 0 -2, 24.61, 26
2 0 0, 27.68, 100
1 0 -4, 27.85, 59
1 2 -1, 29.86, 95
2 0 -4, 30.81, 32
0 0 4, 31.52, 48
1 2 1, 33.18, 35
0 2 3, 36.21, 27
1 2 -5, 45.07, 25
3 2 -1, 48.04, 35
2 2 3, 53.02, 22

4.
ThAl2GeOs2: calculated powder XRD pattern (Cu Kα (λ = 1.5418 Å)), based on DFT lattice parameters and positions (PBE).

Atomic structure:
```
data_ThAl2GeOs2
_chemical_formula_sum 'Th1 Al2 Ge1 Os2'
_space_group_name_H-M_alt 'P 4/m m m'
_space_group_IT_number 123
_space_group_name_Hall '-P 4 2'
_cell_length_a 4.569
_cell_length_b 4.569
_cell_length_c 5.730
_cell_angle_alpha 90.00
_cell_angle_beta 90.00
_cell_angle_gamma 90.00
loop_
_atom_site_label
_atom_site_type_symbol
_atom_site_fract_x
_atom_site_fract_y
_atom_site_fract_z
_atom_site_occupancy
Th1 Th 0.000 0.000 0.000 1
Al1 Al 0.500 0.500 0.240 1
Ge1 Ge 0.000 0.000 0.500 1
Os1 Os 0.000 0.500 0.500 1
```

Peak list (12 most intense, 2θ from 10° to 90°, low angle first)
index, 2theta, I (rel.)
0 0 1, 15.46, 26
1 0 0, 19.43, 35
0 0 2, 31.22, 36
1 1 1, 31.80, 100
1 0 2, 37.04, 30
2 0 0, 39.45, 54
2 0 2, 51.14, 38
2 1 2, 55.22, 19
1 1 3, 55.92, 20
2 2 0, 57.01, 19
2 2 2, 66.45, 17
3 1 1, 66.78, 25

5.
Al2GeP3: calculated powder XRD pattern (Cu Kα (λ = 1.5418 Å)), based on DFT lattice parameters and positions (PBE).

Atomic structure:
```
data_Al2GeP3
_chemical_formula_sum 'Al32 Ge16 P48'
_space_group_name_H-M_alt 'F d d 2'
_space_group_IT_number 43
_space_group_name_Hall 'F 2 -2d'
_cell_length_a 7.867
_cell_length_b 23.424
_cell_length_c 11.112
_cell_angle_alpha 90.00
_cell_angle_beta 90.00
_cell_angle_gamma 90.00
loop_
_atom_site_label
_atom_site_type_symbol
_atom_site_fract_x
_atom_site_fract_y
_atom_site_fract_z
_atom_site_occupancy
Al1 Al 0.000 0.000 0.000 1
Al2 Al 0.000 0.000 0.495 1
Al3 Al 0.000 0.166 0.496 1
Ge1 Ge 0.004 0.168 0.000 1
P1 P 0.002 0.252 0.868 1
P2 P 0.006 0.417 0.872 1
P3 P 0.010 0.082 0.876 1
```

Peak list (12 most intense, 2θ from 10° to 90°, low angle first)
index, 2theta, I (rel.)
1 3 1, 17.89, 21
2 0 2, 27.79, 98
0 6 2, 27.93, 100
4 0 0, 46.15, 22
2 6 4, 46.28, 88
0 12 0, 46.52, 22
2 0 6, 54.82, 54
2 12 2, 55.06, 26
4 12 0, 67.62, 14
2 12 6, 74.65, 11
4 0 8, 85.60, 22
2 18 4, 86.14, 14

6.
Al3GeP: calculated powder XRD pattern (Cu Kα (λ = 1.5418 Å)), based on DFT lattice parameters and positions (PBE).

Atomic structure:
```
data_Al3GeP
_chemical_formula_sum 'Al3 Ge1 P1'
_space_group_name_H-M_alt 'P m -3 m'
_space_group_IT_number 221
_space_group_name_Hall '-P 4 2 3'
_cell_length_a 4.679
_cell_length_b 4.679
_cell_length_c 4.679
_cell_angle_alpha 90.00
_cell_angle_beta 90.00
_cell_angle_gamma 90.00
loop_
_atom_site_label
_atom_site_type_symbol
_atom_site_fract_x
_atom_site_fract_y
_atom_site_fract_z
_atom_site_occupancy
Al1 Al 0.000 0.000 0.500 1
Ge1 Ge 0.500 0.500 0.500 1
P1 P 0.000 0.000 0.000 1
```

Peak list (12 most intense, 2θ from 10° to 90°, low angle first)
index, 2theta, I (rel.)
1 0 0, 18.96, 3
1 1 0, 26.95, 95
1 1 1, 33.16, 92
2 0 0, 38.48, 100
2 1 1, 47.60, 38
2 2 0, 55.55, 66
3 1 0, 62.79, 16
3 1 1, 66.24, 36
2 2 2, 69.60, 22
3 2 1, 76.11, 18
4 0 0, 82.44, 11
4 1 1, 88.69, 10

7.
PaAlSnGe: calculated powder XRD pattern (Cu Kα (λ = 1.5418 Å)), based on DFT lattice parameters and positions (PBE).

Atomic structure:
```
data_PaAlSnGe
_chemical_formula_sum 'Pa1 Al1 Sn1 Ge1'
_space_group_name_H-M_alt 'P m m m'
_space_group_IT_number 47
_space_group_name_Hall '-P 2 2'
_cell_length_a 4.282
_cell_length_b 4.287
_cell_length_c 4.675
_cell_angle_alpha 90.00
_cell_angle_beta 90.00
_cell_angle_gamma 90.00
loop_
_atom_site_label
_atom_site_type_symbol
_atom_site_fract_x
_atom_site_fract_y
_atom_site_fract_z
_atom_site_occupancy
Pa1 Pa 0.000 0.000 0.000 1
Al1 Al 0.000 0.500 0.500 1
Sn1 Sn 0.500 0.000 0.500 1
Ge1 Ge 0.500 0.500 0.000 1
```

Peak list (12 most intense, 2θ from 10° to 90°, low angle first)
index, 2theta, I (rel.)
0 0 1, 18.98, 13
0 1 0, 20.72, 28
1 0 1, 28.26, 27
1 1 1, 35.30, 100
0 0 2, 38.51, 20
2 0 0, 42.18, 31
1 2 1, 51.53, 11
2 0 2, 58.43, 24
2 2 0, 61.18, 10
1 1 3, 67.60, 16
3 1 1, 72.65, 25
2 2 2, 74.66, 12

8.
Al3Ge3Pb: calculated powder XRD pattern (Cu Kα (λ = 1.5418 Å)), based on DFT lattice parameters and positions (PBE).

Atomic structure:
```
data_Al3Ge3Pb
_chemical_formula_sum 'Al6 Ge6 Pb2'
_space_group_name_H-M_alt 'P m -3 n'
_space_group_IT_number 223
_space_group_name_Hall '-P 4n 2 3'
_cell_length_a 7.079
_cell_length_b 7.079
_cell_length_c 7.079
_cell_angle_alpha 90.00
_cell_angle_beta 90.00
_cell_angle_gamma 90.00
loop_
_atom_site_label
_atom_site_type_symbol
_atom_site_fract_x
_atom_site_fract_y
_atom_site_fract_z
_atom_site_occupancy
Al1 Al 0.000 0.250 0.500 1
Ge1 Ge 0.000 0.500 0.250 1
Pb1 Pb 0.000 0.000 0.000 1
```

Peak list (12 most intense, 2θ from 10° to 90°, low angle first)
index, 2theta, I (rel.)
1 1 0, 17.72, 19
2 0 0, 25.16, 42
2 1 0, 28.19, 13
2 1 1, 30.94, 100
3 2 1, 48.09, 59
4 0 0, 51.64, 17
4 2 0, 58.29, 17
3 3 2, 61.43, 14
5 2 1, 73.23, 17
4 4 0, 76.05, 11
6 0 0, 81.59, 8
6 1 1, 84.33, 18

9.
Sm2AlGePb: calculated powder XRD pattern (Cu Kα (λ = 1.5418 Å)), based on DFT lattice parameters and positions (PBE).

Atomic structure:
```
data_Sm2AlGePb
_chemical_formula_sum 'Sm4 Al2 Ge2 Pb2'
_space_group_name_H-M_alt 'P 1 21/m 1'
_space_group_IT_number 11
_space_group_name_Hall '-P 2yb'
_cell_length_a 6.562
_cell_length_b 4.445
_cell_length_c 8.872
_cell_angle_alpha 90.00
_cell_angle_beta 91.55
_cell_angle_gamma 90.00
loop_
_atom_site_label
_atom_site_type_symbol
_atom_site_fract_x
_atom_site_fract_y
_atom_site_fract_z
_atom_site_occupancy
Sm1 Sm 0.228 0.250 0.463 1
Sm2 Sm 0.247 0.250 0.029 1
Al1 Al 0.447 0.750 0.254 1
Ge1 Ge 0.069 0.750 0.240 1
Pb1 Pb 0.277 0.750 0.742 1
```

Peak list (12 most intense, 2θ from 10° to 90°, low angle first)
index, 2theta, I (rel.)
0 1 1, 22.37, 21
2 0 0, 27.19, 44
1 1 -2, 31.35, 100
1 1 2, 31.84, 86
1 0 3, 33.58, 24
2 1 -1, 35.27, 21
2 1 1, 35.71, 34
0 2 0, 40.59, 35
0 0 4, 40.69, 22
2 2 0, 49.55, 18
3 0 -3, 51.35, 17
0 2 4, 58.83, 15

10.
Al4GePd10: calculated powder XRD pattern (Cu Kα (λ = 1.5418 Å)), based on DFT lattice parameters and positions (PBE).

Atomic structure:
```
data_Al4GePd10
_chemical_formula_sum 'Al12 Ge3 Pd30'
_space_group_name_H-M_alt 'R -3 m'
_space_group_IT_number 166
_space_group_name_Hall '-R 3 2"'
_cell_length_a 4.0954
_cell_length_b 4.0954
_cell_length_c 51.2116
_cell_angle_alpha 90.00
_cell_angle_beta 90.00
_cell_angle_gamma 120.00
loop_
_atom_site_label
_atom_site_type_symbol
_atom_site_fract_x
_atom_site_fract_y
_atom_site_fract_z
_atom_site_occupancy
Al1 Al 0.0000 0.0000 0.0996 1
Al2 Al 0.0000 0.0000 0.3001 1
Ge1 Ge 0.0000 0.0000 0.5000 1
Pd1 Pd 0.0000 0.0000 0.0502 1
Pd2 Pd 0.0000 0.0000 0.1498 1
Pd3 Pd 0.0000 0.0000 0.2502 1
Pd4 Pd 0.0000 0.0000 0.3497 1
Pd5 Pd 0.0000 0.0000 0.4504 1
```

Peak list (12 most intense, 2θ from 10° to 90°, low angle first)
index, 2theta, I (rel.)
0 1 5, 26.60, 7
1 0 10, 30.66, 100
0 1 20, 43.60, 74
1 1 0, 44.23, 71
0 0 30, 53.69, 7
0 2 10, 54.78, 19
2 0 20, 63.85, 23
1 1 30, 72.02, 16
2 1 10, 72.95, 16
1 0 40, 79.61, 12
1 2 20, 80.95, 24
3 0 0, 81.40, 12

11.
Al2GePd2: calculated powder XRD pattern (Cu Kα (λ = 1.5418 Å)), based on DFT lattice parameters and positions (PBE).

Atomic structure:
```
data_Al2GePd2
_chemical_formula_sum 'Al4 Ge2 Pd4'
_space_group_name_H-M_alt 'P 4/m b m'
_space_group_IT_number 127
_space_group_name_Hall '-P 4 2ab'
_cell_length_a 7.469
_cell_length_b 7.469
_cell_length_c 2.859
_cell_angle_alpha 90.00
_cell_angle_beta 90.00
_cell_angle_gamma 90.00
loop_
_atom_site_label
_atom_site_type_symbol
_atom_site_fract_x
_atom_site_fract_y
_atom_site_fract_z
_atom_site_occupancy
Al1 Al 0.156 0.344 0.000 1
Ge1 Ge 0.000 0.000 0.500 1
Pd1 Pd 0.140 0.640 0.500 1
```

Peak list (12 most intense, 2θ from 10° to 90°, low angle first)
index, 2theta, I (rel.)
2 1 0, 26.69, 59
0 0 1, 31.29, 37
3 1 0, 38.10, 78
2 1 1, 41.58, 100
4 0 0, 48.77, 10
3 1 1, 50.10, 38
3 2 1, 54.72, 13
0 0 2, 65.27, 9
4 4 0, 71.45, 10
5 2 1, 76.31, 24
3 1 2, 78.16, 18
4 4 1, 80.05, 9

12.
Pm2AlGe3Pd4: calculated powder XRD pattern (Cu Kα (λ = 1.5418 Å)), based on DFT lattice parameters and positions (PBE).

Atomic structure:
```
data_Pm2AlGe3Pd4
_chemical_formula_sum 'Pm2 Al1 Ge3 Pd4'
_space_group_name_H-M_alt 'P -4 m 2'
_space_group_IT_number 115
_space_group_name_Hall 'P -4 -2'
_cell_length_a 4.305
_cell_length_b 4.305
_cell_length_c 10.286
_cell_angle_alpha 90.00
_cell_angle_beta 90.00
_cell_angle_gamma 90.00
loop_
_atom_site_label
_atom_site_type_symbol
_atom_site_fract_x
_atom_site_fract_y
_atom_site_fract_z
_atom_site_occupancy
Pm1 Pm 0.000 0.500 0.249 1
Al1 Al 0.000 0.000 0.500 1
Ge1 Ge 0.000 0.500 0.869 1
Ge2 Ge 0.500 0.500 0.500 1
Pd1 Pd 0.000 0.000 0.000 1
Pd2 Pd 0.000 0.500 0.629 1
Pd3 Pd 0.500 0.500 0.000 1
```

Peak list (12 most intense, 2θ from 10° to 90°, low angle first)
index, 2theta, I (rel.)
1 1 0, 29.34, 22
1 0 3, 33.41, 74
1 1 2, 34.23, 100
2 0 0, 41.97, 67
1 1 4, 46.21, 16
1 0 5, 49.08, 31
2 1 3, 54.67, 36
2 2 0, 60.86, 22
1 1 6, 62.14, 13
2 1 5, 66.52, 25
3 1 2, 71.71, 23
2 0 8, 88.60, 15

13.
PrAl2GePd2: calculated powder XRD pattern (Cu Kα (λ = 1.5418 Å)), based on DFT lattice parameters and positions (PBE).

Atomic structure:
```
data_PrAl2GePd2
_chemical_formula_sum 'Pr1 Al2 Ge1 Pd2'
_space_group_name_H-M_alt 'P 4/m m m'
_space_group_IT_number 123
_space_group_name_Hall '-P 4 2'
_cell_length_a 4.693
_cell_length_b 4.693
_cell_length_c 5.722
_cell_angle_alpha 90.00
_cell_angle_beta 90.00
_cell_angle_gamma 90.00
loop_
_atom_site_label
_atom_site_type_symbol
_atom_site_fract_x
_atom_site_fract_y
_atom_site_fract_z
_atom_site_occupancy
Pr1 Pr 0.000 0.000 0.000 1
Al1 Al 0.000 0.500 0.500 1
Ge1 Ge 0.000 0.000 0.500 1
Pd1 Pd 0.500 0.500 0.248 1
```

Peak list (12 most intense, 2θ from 10° to 90°, low angle first)
index, 2theta, I (rel.)
1 1 0, 26.87, 88
1 1 1, 31.16, 13
1 0 2, 36.79, 100
2 0 0, 38.36, 56
2 1 2, 54.20, 65
2 2 0, 55.38, 19
3 1 0, 62.60, 16
3 0 2, 68.35, 16
1 1 4, 71.87, 10
2 0 4, 78.27, 14
3 2 2, 81.19, 20
4 0 0, 82.16, 6